Sr5Li4Mg: simulated X-ray diffraction stick pattern (Cu Kα (weighted mean of Kα1 and Kα2)), based on a GGA-PBE-relaxed structure.
Kinematic intensities with the Lorentz-polarization factor, no thermal factor.

Atomic structure:
Unit cell a=4.2302 b=4.2302 c=21.0198 alpha=90.00 beta=90.00 gamma=90.00
Element x y z (fractional)
Sr 0.0000 0.0000 0.0000
Sr 0.0000 0.0000 0.1998
Sr 0.0000 0.0000 0.4011
Sr 0.0000 0.0000 0.5989
Sr 0.0000 0.0000 0.8002
Li 0.5000 0.5000 0.1000
Li 0.5000 0.5000 0.3009
Li 0.5000 0.5000 0.6991
Li 0.5000 0.5000 0.9000
Mg 0.5000 0.5000 0.5000

Peak list (6 most intense, 2θ from 10° to 90°, in order of falling intensity)
2.985 Å, I 100, hkl 1 1 0; 4.230 Å, I 52, hkl 1 0 0; 1.725 Å, I 26, hkl 2 1 5; 4.204 Å, I 26, hkl 0 0 5; 2.437 Å, I 25, hkl 1 1 5; 1.891 Å, I 23, hkl 2 1 0